# Sr3Ca5Cd2
Calculated powder X-ray diffraction pattern, CuKα. Input: DFT lattice parameters and positions (PBE).
Kinematic intensities with the Lorentz-polarization factor, no thermal factor.

Cell and atoms:
Cell: 12.536 12.536 5.201 Å, 90.00 90.00 90.00°
Atoms (fractional coordinates):
1 Sr 0.000 0.000 0.000
2 Sr 0.172 0.328 0.000
3 Sr 0.328 0.828 0.000
4 Sr 0.500 0.500 0.000
5 Sr 0.672 0.172 0.000
6 Sr 0.828 0.672 0.000
7 Ca 0.000 0.500 0.500
8 Ca 0.073 0.784 0.500
9 Ca 0.216 0.073 0.500
10 Ca 0.284 0.573 0.500
11 Ca 0.427 0.284 0.500
12 Ca 0.500 0.000 0.500
13 Ca 0.573 0.716 0.500
14 Ca 0.716 0.427 0.500
15 Ca 0.784 0.927 0.500
16 Ca 0.927 0.216 0.500
17 Cd 0.121 0.621 0.000
18 Cd 0.379 0.121 0.000
19 Cd 0.621 0.879 0.000
20 Cd 0.879 0.379 0.000

Top 10 peaks for 10° ≤ 2θ ≤ 80°, in order of rising 2θ:
2θ 17.0, I 23.6
2θ 22.4, I 25.0
2θ 26.4, I 17.3
2θ 28.3, I 100.0
2θ 29.4, I 24.7
2θ 30.9, I 45.9
2θ 33.4, I 19.7
2θ 34.5, I 27.7
2θ 45.9, I 13.7
2θ 58.1, I 12.3

---

# SrCaCd4
Calculated powder X-ray diffraction pattern, CuKα. Input: DFT lattice parameters and positions (PBE).
Kinematic intensities with the Lorentz-polarization factor, no thermal factor.

Cell and atoms:
Cell: 5.057 7.796 8.585 Å, 90.00 90.00 90.00°
Atoms (fractional coordinates):
1 Sr 0.000 0.000 0.000
2 Sr 0.500 0.500 0.500
3 Ca 0.000 0.500 0.917
4 Ca 0.500 0.000 0.417
5 Cd 0.000 0.201 0.619
6 Cd 0.000 0.298 0.291
7 Cd 0.000 0.702 0.291
8 Cd 0.000 0.799 0.619
9 Cd 0.500 0.202 0.791
10 Cd 0.500 0.299 0.119
11 Cd 0.500 0.701 0.119
12 Cd 0.500 0.798 0.791

Top 10 peaks for 10° ≤ 2θ ≤ 80°, in order of rising 2θ:
2θ 22.8, I 22.9
2θ 29.6, I 29.6
2θ 30.8, I 73.5
2θ 31.0, I 30.3
2θ 35.5, I 42.7
2θ 36.1, I 100.0
2θ 43.1, I 23.4
2θ 47.8, I 17.4
2θ 51.5, I 20.3
2θ 58.7, I 19.0

---

# Sr3Ca12Cd
Calculated powder X-ray diffraction pattern, CuKα. Input: DFT lattice parameters and positions (PBE).
Kinematic intensities with the Lorentz-polarization factor, no thermal factor.

Cell and atoms:
Cell: 5.667 5.667 20.991 Å, 90.00 90.00 90.00°
Atoms (fractional coordinates):
1 Sr 0.000 0.000 0.000
2 Sr 0.000 0.000 0.266
3 Sr 0.000 0.000 0.734
4 Ca 0.000 0.500 0.134
5 Ca 0.000 0.500 0.400
6 Ca 0.000 0.500 0.600
7 Ca 0.000 0.500 0.866
8 Ca 0.500 0.000 0.134
9 Ca 0.500 0.000 0.400
10 Ca 0.500 0.000 0.600
11 Ca 0.500 0.000 0.866
12 Ca 0.500 0.500 0.000
13 Ca 0.500 0.500 0.270
14 Ca 0.500 0.500 0.500
15 Ca 0.500 0.500 0.730
16 Cd 0.000 0.000 0.500

Top 10 peaks for 10° ≤ 2θ ≤ 80°, in order of rising 2θ:
2θ 15.6, I 11.7
2θ 23.1, I 9.5
2θ 28.0, I 100.0
2θ 30.8, I 7.0
2θ 31.6, I 41.8
2θ 34.2, I 9.3
2θ 45.3, I 14.5
2θ 47.2, I 14.1
2θ 54.1, I 28.7
2θ 57.9, I 7.4

---

# Sr6CaCd
Calculated powder X-ray diffraction pattern, CuKα. Input: DFT lattice parameters and positions (PBE).
Kinematic intensities with the Lorentz-polarization factor, no thermal factor.

Cell and atoms:
Cell: 6.015 6.015 20.847 Å, 90.00 90.00 90.00°
Atoms (fractional coordinates):
1 Sr 0.000 0.000 0.246
2 Sr 0.000 0.000 0.754
3 Sr 0.000 0.500 0.105
4 Sr 0.000 0.500 0.395
5 Sr 0.000 0.500 0.605
6 Sr 0.000 0.500 0.895
7 Sr 0.500 0.000 0.105
8 Sr 0.500 0.000 0.395
9 Sr 0.500 0.000 0.605
10 Sr 0.500 0.000 0.895
11 Sr 0.500 0.500 0.254
12 Sr 0.500 0.500 0.746
13 Ca 0.000 0.000 0.000
14 Ca 0.500 0.500 0.500
15 Cd 0.000 0.000 0.500
16 Cd 0.500 0.500 0.000

Top 10 peaks for 10° ≤ 2θ ≤ 80°, in order of rising 2θ:
2θ 27.1, I 100.0
2θ 29.7, I 45.1
2θ 33.3, I 7.2
2θ 34.4, I 8.7
2θ 42.5, I 16.7
2θ 46.1, I 14.8
2θ 51.1, I 33.4
2θ 55.8, I 8.3
2θ 61.7, I 7.5
2θ 69.9, I 8.8

---

# Sr4Ca5Cd2
Calculated powder X-ray diffraction pattern, CuKα. Input: DFT lattice parameters and positions (PBE).
Kinematic intensities with the Lorentz-polarization factor, no thermal factor.

Cell and atoms:
Cell: 13.685 13.685 13.685 Å, 131.45 58.01 150.20°
Atoms (fractional coordinates):
1 Sr 0.043 0.699 0.742
2 Sr 0.138 0.089 0.227
3 Sr 0.362 0.589 0.951
4 Sr 0.457 0.199 0.656
5 Sr 0.543 0.801 0.344
6 Sr 0.638 0.411 0.049
7 Sr 0.862 0.911 0.773
8 Sr 0.957 0.301 0.258
9 Ca 0.137 0.421 0.558
10 Ca 0.210 0.751 0.961
11 Ca 0.250 0.250 0.000
12 Ca 0.290 0.251 0.540
13 Ca 0.363 0.921 0.284
14 Ca 0.637 0.079 0.716
15 Ca 0.710 0.749 0.460
16 Ca 0.750 0.750 0.000
17 Ca 0.790 0.249 0.039
18 Ca 0.863 0.579 0.442
19 Cd 0.005 0.750 0.255
20 Cd 0.495 0.750 0.745
21 Cd 0.505 0.250 0.255
22 Cd 0.995 0.250 0.745

Top 10 peaks for 10° ≤ 2θ ≤ 80°, in order of rising 2θ:
2θ 17.4, I 61.6
2θ 26.9, I 100.0
2θ 28.0, I 79.0
2θ 29.4, I 42.8
2θ 29.9, I 53.8
2θ 33.6, I 99.6
2θ 33.9, I 59.7
2θ 35.2, I 42.6
2θ 37.6, I 33.6
2θ 64.3, I 25.0

---

# Sr6Ca2Cd
Calculated powder X-ray diffraction pattern, CuKα. Input: DFT lattice parameters and positions (PBE).
Kinematic intensities with the Lorentz-polarization factor, no thermal factor.

Cell and atoms:
Cell: 4.238 10.860 10.860 Å, 119.95 90.00 90.00°
Atoms (fractional coordinates):
1 Sr 0.000 0.000 0.000
2 Sr 0.000 0.488 0.743
3 Sr 0.000 0.743 0.488
4 Sr 0.500 0.121 0.744
5 Sr 0.500 0.365 0.365
6 Sr 0.500 0.744 0.121
7 Ca 0.000 0.077 0.411
8 Ca 0.000 0.411 0.077
9 Cd 0.500 0.744 0.744

Top 10 peaks for 10° ≤ 2θ ≤ 80°, in order of rising 2θ:
2θ 25.0, I 52.0
2θ 26.7, I 100.0
2θ 28.3, I 63.9
2θ 28.5, I 72.4
2θ 32.9, I 48.0
2θ 42.7, I 15.9
2θ 47.3, I 44.0
2θ 50.1, I 15.4
2θ 52.1, I 25.7
2θ 69.1, I 13.5